Diffraction record for NbIBr2F6. The powder diffraction line list is computed, not measured: it uses a DFT-relaxed cell (PBE, OQMD) and Cu Kα (λ = 1.5418 Å).

Cell and atoms:
```
data_NbIBr2F6
_space_group_name_H-M_alt 'C m c e'
_space_group_IT_number 64
_space_group_name_Hall '-C 2ac 2'
_cell_length_a 10.296
_cell_length_b 11.245
_cell_length_c 12.774
_cell_angle_alpha 90.00
_cell_angle_beta 90.00
_cell_angle_gamma 90.00
loop_
_atom_site_label
_atom_site_fract_x
_atom_site_fract_y
_atom_site_fract_z
Nb1 0.000 0.189 0.061
I1 0.250 0.089 0.750
Br1 0.159 0.053 0.374
F1 0.000 0.034 0.123
F2 0.000 0.147 0.515
F3 0.130 0.241 0.165
F4 0.136 0.159 0.964
```

Principal peaks in the range 2θ = 5–70°, most intense first:
| d [Å] | Position (°2θ) | I (rel.) | (hkl) |
| --- | --- | --- | --- |
| 3.395 | 26.25 | 100 | 0 2 3 |
| 4.008 | 22.18 | 92 | 2 0 2 |
| 3.797 | 23.43 | 46 | 2 2 0 |
| 3.640 | 24.46 | 40 | 2 2 1 |
| 2.135 | 42.34 | 36 | 2 4 3 |
| 3.179 | 28.07 | 35 | 3 1 1 |
| 2.120 | 42.65 | 28 | 2 2 5 |
| 3.084 | 28.95 | 27 | 1 3 2 |